The following is a simulated powder diffractogram of Sr2Ru3O10. It was derived from a crystal structure in Alexandria, relaxed with GGA-PBE, using copper Kα.
Intensities are scaled so that the largest is 100.

Top 10 peaks for 2θ = 10–90°, by intensity:
28.28°, I 100; 29.20°, I 96; 28.09°, I 79; 43.15°, I 64; 28.44°, I 63; 28.93°, I 38; 54.15°, I 38; 51.08°, I 32; 24.90°, I 31; 57.33°, I 29

Crystal structure
```
30
Lattice="9.176 -2.882 0.000 9.176 2.882 0.000 -2.988 0.000 7.151" Properties=species:S:1:pos:R:3 pbc="T T T"
Sr 1.272 0.000 1.597
Sr 1.412 0.000 5.812
Sr 13.953 0.000 1.339
Sr 14.092 0.000 5.554
Ru 7.682 1.347 3.575
Ru 4.382 0.000 3.373
Ru 7.587 0.000 0.103
Ru 7.777 0.000 7.048
Ru 10.982 0.000 3.778
Ru 7.682 -1.347 3.575
O 3.094 1.441 3.575
O -1.664 0.000 4.771
O 6.427 1.413 0.200
O 5.720 1.398 3.379
O 4.220 0.000 1.556
O 9.176 1.256 0.000
O 4.490 0.000 5.372
O 9.644 1.398 3.772
O 8.938 1.413 6.951
O 7.791 0.000 2.102
O 3.094 -1.441 3.575
O 7.573 0.000 5.049
O 6.427 -1.413 0.200
O 5.720 -1.398 3.379
O 10.874 0.000 1.779
O 9.176 -1.256 0.000
O 11.144 0.000 5.595
O 9.644 -1.398 3.772
O 8.938 -1.413 6.951
O 17.028 0.000 2.380
```